(1)
The following is a calculated PXRD pattern of CsK2Rb4. It was derived from the GGA-PBE geometry in Alexandria, using Cu Kα (λ = 1.5418 Å).
No peak broadening, texture or thermal motion is included.

Structure:
Cell lengths 9.6347, 9.6347, 16.5275 Å; angles 90.00, 90.00, 56.38 degrees
Fractional coordinates of all 14 atoms:
Cs  0.0000  0.0000  0.0000
Cs  0.5000  0.5000  0.5000
K  0.2126  0.2126  0.5000
K  0.2874  0.2874  0.0000
K  0.7126  0.7126  0.0000
K  0.7874  0.7874  0.5000
Rb  0.0009  0.4991  0.7500
Rb  0.0007  0.9993  0.6775
Rb  0.4991  0.0009  0.2500
Rb  0.4993  0.5007  0.1775
Rb  0.5007  0.4993  0.8225
Rb  0.5009  0.9991  0.7500
Rb  0.9993  0.0007  0.3225
Rb  0.9991  0.5009  0.2500

The 12 most intense peaks (10 to 80 degrees two-theta), by angle:
| d_spacing | 2θ (°) | I/Imax |
| --- | --- | --- |
| 4.543 | 19.54 | 89 |
| 4.246 | 20.92 | 58 |
| 4.132 | 21.51 | 23 |
| 4.012 | 22.16 | 59 |
| 3.987 | 22.30 | 29 |
| 3.618 | 24.60 | 100 |
| 2.906 | 30.76 | 19 |
| 2.623 | 34.18 | 37 |
| 2.405 | 37.39 | 43 |
| 2.357 | 38.19 | 26 |
| 2.157 | 41.88 | 19 |
| 2.060 | 43.95 | 32 |

***

(2)
The following is a calculated PXRD pattern of CsK7Rb5. It was derived from the GGA-PBE geometry in Alexandria, using Cu Kα (λ = 1.5418 Å).
No peak broadening, texture or thermal motion is included.

Structure:
Cell lengths 8.8084, 8.8084, 32.3225 Å; angles 90.00, 90.00, 120.00 degrees
Fractional coordinates of all 26 atoms:
Cs  0.3333  0.6667  0.2500
Cs  0.6667  0.3333  0.7500
K  0.0000  0.0000  0.0000
K  0.0000  0.0000  0.5000
K  0.1674  0.3348  0.1138
K  0.1674  0.3348  0.3862
K  0.1674  0.8326  0.1138
K  0.1674  0.8326  0.3862
K  0.3348  0.1674  0.6138
K  0.3348  0.1674  0.8862
K  0.6652  0.8326  0.1138
K  0.6652  0.8326  0.3862
K  0.8326  0.1674  0.6138
K  0.8326  0.1674  0.8862
K  0.8326  0.6652  0.6138
K  0.8326  0.6652  0.8862
Rb  0.0000  0.0000  0.2500
Rb  0.0000  0.0000  0.7500
Rb  0.3333  0.6667  0.5244
Rb  0.3333  0.6667  0.6790
Rb  0.3333  0.6667  0.8210
Rb  0.3333  0.6667  0.9756
Rb  0.6667  0.3333  0.0244
Rb  0.6667  0.3333  0.1790
Rb  0.6667  0.3333  0.3210
Rb  0.6667  0.3333  0.4756

The 12 most intense peaks (10 to 80 degrees two-theta), by angle:
| d_spacing | 2θ (°) | I/Imax |
| --- | --- | --- |
| 4.404 | 20.16 | 91 |
| 3.950 | 22.51 | 100 |
| 3.867 | 23.00 | 87 |
| 3.596 | 24.76 | 39 |
| 2.543 | 35.30 | 24 |
| 2.446 | 36.75 | 54 |
| 2.426 | 37.06 | 24 |
| 2.328 | 38.68 | 21 |
| 2.298 | 39.20 | 16 |
| 2.202 | 40.99 | 34 |
| 1.923 | 47.26 | 26 |
| 1.664 | 55.20 | 17 |

***

(3)
The following is a calculated PXRD pattern of Cs8K5Rb. It was derived from the GGA-PBE geometry in Alexandria, using Cu Kα (λ = 1.5418 Å).
No peak broadening, texture or thermal motion is included.

Structure:
Cell lengths 12.2576, 12.2576, 12.2576 Å; angles 111.01, 111.01, 106.44 degrees
Fractional coordinates of all 14 atoms:
Cs  0.0967  0.6869  0.7712
Cs  0.1631  0.2706  0.7610
Cs  0.3131  0.0843  0.4098
Cs  0.5095  0.4021  0.2390
Cs  0.5979  0.8369  0.1075
Cs  0.6745  0.9033  0.5902
Cs  0.7294  0.4905  0.8925
Cs  0.9157  0.3255  0.2288
K  0.2173  0.6240  0.1866
K  0.3760  0.5626  0.5933
K  0.4374  0.0307  0.8134
K  0.7500  0.2500  0.5000
K  0.9693  0.7827  0.4067
Rb  0.0000  0.0000  0.0000

The 12 most intense peaks (10 to 80 degrees two-theta), by angle:
| d_spacing | 2θ (°) | I/Imax |
| --- | --- | --- |
| 5.719 | 15.50 | 75 |
| 4.615 | 19.23 | 90 |
| 4.414 | 20.12 | 77 |
| 4.391 | 20.23 | 87 |
| 3.843 | 23.14 | 100 |
| 3.768 | 23.61 | 85 |
| 3.725 | 23.89 | 72 |
| 2.859 | 31.28 | 42 |
| 2.816 | 31.78 | 34 |
| 2.727 | 32.84 | 49 |
| 2.370 | 37.96 | 33 |
| 1.625 | 56.66 | 28 |